This entry pairs a crystal structure of Li2VHg2O6 with its computed X-ray diffraction stick pattern. Radiation: Cu Kα, 1.54184 Å. Structure: a structure optimized by DFT (GGA+U).
Kinematic intensities with the Lorentz-polarization factor, no thermal factor.

Structure:
```
Li2VHg2O6
1.0
2.8175 -4.3507 0.0000
2.8175 4.3507 0.0000
-2.4482 0.0000 5.4208
Li V Hg O
2 1 2 6
direct
0.1605 0.8395 0.0000
0.8395 0.1605 0.0000
0.5000 0.5000 0.0000
0.1933 0.8067 0.5000
0.8067 0.1933 0.5000
0.1172 0.1172 0.7831
0.2748 0.5832 0.1822
0.4168 0.7252 0.8178
0.5832 0.2748 0.1822
0.7252 0.4168 0.8178
0.8828 0.8828 0.2169
```

Top 12 peaks for 2θ from 10° to 80°, in order of falling intensity:
- 2θ 16.35, I 100
- 2θ 26.27, I 93
- 2θ 20.94, I 55
- 2θ 43.77, I 49
- 2θ 34.94, I 48
- 2θ 20.41, I 42
- 2θ 31.83, I 39
- 2θ 35.55, I 39
- 2θ 33.05, I 32
- 2θ 38.11, I 32
- 2θ 42.43, I 29
- 2θ 36.07, I 26